1.
La4Ho: simulated powder diffraction line list (CuKα), based on a PBE-relaxed structure.

```
data_La4Ho
_chemical_formula_sum 'La8 Ho2'
_space_group_name_H-M_alt 'I 4/m m m'
_space_group_IT_number 139
_space_group_name_Hall '-I 4 2'
_cell_length_a 3.712
_cell_length_b 3.712
_cell_length_c 25.843
_cell_angle_alpha 90.00
_cell_angle_beta 90.00
_cell_angle_gamma 90.00
loop_
_atom_site_label
_atom_site_fract_x
_atom_site_fract_y
_atom_site_fract_z
_atom_site_occupancy
La1 0.000 0.000 0.097 1
La2 0.000 0.000 0.302 1
Ho1 0.000 0.000 0.500 1
```

Largest 10 diffraction maxima, by intensity, 2θ = 15–90°:
2θ/deg, I/Imax
29.6, 100
34.2, 35
58.4, 29
49.5, 24
34.7, 16
59.1, 14
49.1, 12
61.5, 12
80.3, 11
79.7, 6


2.
CePuSc: simulated powder diffraction line list (CuKα), based on a PBE-relaxed structure.

```
data_CePuSc
_chemical_formula_sum 'Ce4 Pu4 Sc4'
_space_group_name_H-M_alt 'C m c m'
_space_group_IT_number 63
_space_group_name_Hall '-C 2c 2'
_cell_length_a 5.027
_cell_length_b 17.182
_cell_length_c 3.320
_cell_angle_alpha 90.00
_cell_angle_beta 90.00
_cell_angle_gamma 90.00
loop_
_atom_site_label
_atom_site_fract_x
_atom_site_fract_y
_atom_site_fract_z
_atom_site_occupancy
Ce1 0.000 0.093 0.250 1
Pu1 0.000 0.453 0.250 1
Sc1 0.000 0.280 0.750 1
```

Largest 10 diffraction maxima, by intensity, 2θ = 15–90°:
2θ/deg, I/Imax
36.0, 100
35.7, 35
41.9, 30
18.4, 26
23.5, 25
31.5, 21
64.4, 18
63.5, 18
50.6, 18
37.3, 15


3.
Na2Ce2Pb3: simulated powder diffraction line list (CuKα), based on a PBE-relaxed structure.

```
data_Na2Ce2Pb3
_chemical_formula_sum 'Na4 Ce4 Pb6'
_space_group_name_H-M_alt 'C m m m'
_space_group_IT_number 65
_space_group_name_Hall '-C 2 2'
_cell_length_a 3.572
_cell_length_b 34.210
_cell_length_c 3.531
_cell_angle_alpha 90.00
_cell_angle_beta 90.00
_cell_angle_gamma 90.00
loop_
_atom_site_label
_atom_site_fract_x
_atom_site_fract_y
_atom_site_fract_z
_atom_site_occupancy
Na1 0.000 0.201 0.000 1
Ce1 0.000 0.068 0.000 1
Pb1 0.000 0.363 0.500 1
Pb2 0.000 0.500 0.500 1
```

Largest 10 diffraction maxima, by intensity, 2θ = 15–90°:
2θ/deg, I/Imax
31.0, 100
35.9, 89
32.9, 73
29.8, 48
54.3, 42
61.6, 29
36.8, 27
62.2, 24
34.5, 17
87.3, 17


4.
ErCdGe2Pt5: simulated powder diffraction line list (CuKα), based on a PBE-relaxed structure.

```
data_ErCdGe2Pt5
_chemical_formula_sum 'Er1 Cd1 Ge2 Pt5'
_space_group_name_H-M_alt 'P 4/m m m'
_space_group_IT_number 123
_space_group_name_Hall '-P 4 2'
_cell_length_a 4.194
_cell_length_b 4.194
_cell_length_c 8.980
_cell_angle_alpha 90.00
_cell_angle_beta 90.00
_cell_angle_gamma 90.00
loop_
_atom_site_label
_atom_site_fract_x
_atom_site_fract_y
_atom_site_fract_z
_atom_site_occupancy
Er1 0.000 0.000 0.000 1
Cd1 0.000 0.000 0.500 1
Ge1 0.500 0.500 0.134 1
Pt1 0.000 0.500 0.275 1
Pt2 0.500 0.500 0.500 1
```

Largest 10 diffraction maxima, by intensity, 2θ = 15–90°:
2θ/deg, I/Imax
36.3, 100
43.1, 43
74.6, 25
42.9, 17
60.4, 15
62.6, 14
40.2, 12
70.5, 10
36.9, 9
77.1, 7


5.
Pr2DySc4: simulated powder diffraction line list (CuKα), based on a PBE-relaxed structure.

```
data_Pr2DySc4
_chemical_formula_sum 'Pr8 Dy4 Sc16'
_space_group_name_H-M_alt 'C 1 2 1'
_space_group_IT_number 5
_space_group_name_Hall 'C 2y'
_cell_length_a 15.727
_cell_length_b 6.549
_cell_length_c 10.869
_cell_angle_alpha 90.00
_cell_angle_beta 133.49
_cell_angle_gamma 90.00
loop_
_atom_site_label
_atom_site_fract_x
_atom_site_fract_y
_atom_site_fract_z
_atom_site_occupancy
Pr1 0.000 0.000 0.000 1
Pr2 0.000 0.009 0.500 1
Pr3 0.221 0.870 0.455 1
Dy1 0.224 0.876 0.986 1
Sc1 0.002 0.659 0.751 1
Sc2 0.003 0.233 0.756 1
Sc3 0.140 0.542 0.642 1
Sc4 0.144 0.483 0.142 1
```

Largest 10 diffraction maxima, by intensity, 2θ = 15–90°:
2θ/deg, I/Imax
31.8, 100
22.6, 94
35.7, 89
33.0, 65
31.9, 61
31.5, 48
46.2, 40
31.4, 30
15.6, 28
41.9, 28


6.
NaCa3Rh: simulated powder diffraction line list (CuKα), based on a PBE-relaxed structure.

```
data_NaCa3Rh
_chemical_formula_sum 'Na2 Ca6 Rh2'
_space_group_name_H-M_alt 'P 1'
_space_group_IT_number 1
_space_group_name_Hall 'P 1'
_cell_length_a 6.043
_cell_length_b 6.056
_cell_length_c 10.008
_cell_angle_alpha 85.53
_cell_angle_beta 85.15
_cell_angle_gamma 63.81
loop_
_atom_site_label
_atom_site_fract_x
_atom_site_fract_y
_atom_site_fract_z
_atom_site_occupancy
Na1 0.000 0.000 0.000 1
Na2 0.391 0.394 0.883 1
Ca1 0.101 0.113 0.652 1
Ca2 0.284 0.288 0.231 1
Ca3 0.435 0.445 0.524 1
Ca4 0.645 0.649 0.192 1
Ca5 0.740 0.752 0.691 1
Ca6 0.949 0.956 0.359 1
Rh1 0.468 0.925 0.442 1
Rh2 0.917 0.476 0.442 1
```

Largest 10 diffraction maxima, by intensity, 2θ = 15–90°:
2θ/deg, I/Imax
17.3, 100
18.7, 81
36.9, 80
38.5, 61
38.7, 60
41.8, 55
20.3, 53
30.3, 51
33.0, 50
30.9, 48


7.
YUB4: simulated powder diffraction line list (CuKα), based on a PBE-relaxed structure.

```
data_YUB4
_chemical_formula_sum 'Y4 U4 B16'
_space_group_name_H-M_alt 'P b a m'
_space_group_IT_number 55
_space_group_name_Hall '-P 2 2ab'
_cell_length_a 6.131
_cell_length_b 12.017
_cell_length_c 4.030
_cell_angle_alpha 90.00
_cell_angle_beta 90.00
_cell_angle_gamma 90.00
loop_
_atom_site_label
_atom_site_fract_x
_atom_site_fract_y
_atom_site_fract_z
_atom_site_occupancy
Y1 0.125 0.158 0.000 1
U1 0.126 0.422 0.000 1
B1 0.013 0.695 0.500 1
B2 0.122 0.552 0.500 1
B3 0.128 0.968 0.500 1
B4 0.199 0.812 0.500 1
```

Largest 10 diffraction maxima, by intensity, 2θ = 15–90°:
2θ/deg, I/Imax
22.1, 100
16.2, 58
40.2, 57
43.4, 55
37.6, 49
36.9, 38
30.1, 36
33.2, 33
27.5, 32
45.0, 29


8.
Tl3Bi3Au2: simulated powder diffraction line list (CuKα), based on a PBE-relaxed structure.

```
data_Tl3Bi3Au2
_chemical_formula_sum 'Tl12 Bi12 Au8'
_space_group_name_H-M_alt 'C m c m'
_space_group_IT_number 63
_space_group_name_Hall '-C 2c 2'
_cell_length_a 4.772
_cell_length_b 11.480
_cell_length_c 17.515
_cell_angle_alpha 90.00
_cell_angle_beta 90.00
_cell_angle_gamma 90.00
loop_
_atom_site_label
_atom_site_fract_x
_atom_site_fract_y
_atom_site_fract_z
_atom_site_occupancy
Tl1 0.000 0.069 0.125 1
Tl2 0.000 0.371 0.250 1
Bi1 0.000 0.335 0.750 1
Bi2 0.000 0.364 0.026 1
Au1 0.000 0.204 0.611 1
```

Largest 10 diffraction maxima, by intensity, 2θ = 15–90°:
2θ/deg, I/Imax
28.7, 100
36.4, 41
37.7, 38
30.4, 36
29.9, 25
34.8, 23
52.2, 20
33.7, 18
41.2, 16
59.6, 16


9.
B5C3: simulated powder diffraction line list (CuKα), based on a PBE-relaxed structure.

```
data_B5C3
_chemical_formula_sum 'B10 C6'
_space_group_name_H-M_alt 'A m m 2'
_space_group_IT_number 38
_space_group_name_Hall 'A 2 -2'
_cell_length_a 2.745
_cell_length_b 6.293
_cell_length_c 6.431
_cell_angle_alpha 90.00
_cell_angle_beta 90.00
_cell_angle_gamma 90.00
loop_
_atom_site_label
_atom_site_fract_x
_atom_site_fract_y
_atom_site_fract_z
_atom_site_occupancy
B1 0.000 0.000 0.000 1
B2 0.000 0.000 0.453 1
B3 0.500 0.000 0.615 1
B4 0.500 0.242 0.742 1
C1 0.000 0.131 0.232 1
C2 0.500 0.000 0.873 1
```

Largest 10 diffraction maxima, by intensity, 2θ = 15–90°:
2θ/deg, I/Imax
38.4, 100
40.1, 53
27.7, 38
75.7, 25
28.4, 24
74.8, 22
45.5, 17
71.7, 17
68.3, 16
44.7, 13


10.
Ag2SnPd8: simulated powder diffraction line list (CuKα), based on a PBE-relaxed structure.

```
data_Ag2SnPd8
_chemical_formula_sum 'Ag4 Sn2 Pd16'
_space_group_name_H-M_alt 'C m m m'
_space_group_IT_number 65
_space_group_name_Hall '-C 2 2'
_cell_length_a 8.121
_cell_length_b 10.600
_cell_length_c 4.408
_cell_angle_alpha 90.00
_cell_angle_beta 90.00
_cell_angle_gamma 90.00
loop_
_atom_site_label
_atom_site_fract_x
_atom_site_fract_y
_atom_site_fract_z
_atom_site_occupancy
Ag1 0.000 0.124 0.000 1
Sn1 0.000 0.500 0.500 1
Pd1 0.000 0.256 0.500 1
Pd2 0.168 0.368 0.000 1
Pd3 0.171 0.000 0.500 1
```

Largest 10 diffraction maxima, by intensity, 2θ = 15–90°:
2θ/deg, I/Imax
39.7, 100
40.0, 86
40.9, 47
42.0, 39
60.1, 26
83.1, 23
55.0, 16
73.7, 16
70.8, 15
75.0, 14


11.
Ac2Ho3Tl4: simulated powder diffraction line list (CuKα), based on a PBE-relaxed structure.

```
data_Ac2Ho3Tl4
_chemical_formula_sum 'Ac4 Ho6 Tl8'
_space_group_name_H-M_alt 'P 1 21/c 1'
_space_group_IT_number 14
_space_group_name_Hall '-P 2ybc'
_cell_length_a 8.583
_cell_length_b 8.522
_cell_length_c 8.276
_cell_angle_alpha 90.00
_cell_angle_beta 108.58
_cell_angle_gamma 90.00
loop_
_atom_site_label
_atom_site_fract_x
_atom_site_fract_y
_atom_site_fract_z
_atom_site_occupancy
Ac1 0.190 0.177 0.066 1
Ho1 0.249 0.665 0.249 1
Ho2 0.500 0.000 0.500 1
Tl1 0.083 0.543 0.857 1
Tl2 0.499 0.629 0.634 1
```

Largest 10 diffraction maxima, by intensity, 2θ = 15–90°:
2θ/deg, I/Imax
29.9, 100
30.2, 85
34.2, 82
30.4, 70
33.6, 59
28.1, 41
33.0, 34
27.7, 33
63.2, 27
33.7, 25


12.
Sr2AlHgPd6: simulated powder diffraction line list (CuKα), based on a PBE-relaxed structure.

```
data_Sr2AlHgPd6
_chemical_formula_sum 'Sr2 Al1 Hg1 Pd6'
_space_group_name_H-M_alt 'P -1'
_space_group_IT_number 2
_space_group_name_Hall '-P 1'
_cell_length_a 5.580
_cell_length_b 6.664
_cell_length_c 7.067
_cell_angle_alpha 81.16
_cell_angle_beta 66.87
_cell_angle_gamma 65.55
loop_
_atom_site_label
_atom_site_fract_x
_atom_site_fract_y
_atom_site_fract_z
_atom_site_occupancy
Sr1 0.028 0.230 0.213 1
Al1 0.500 0.000 0.500 1
Hg1 0.500 0.500 0.000 1
Pd1 0.017 0.231 0.730 1
Pd2 0.342 0.414 0.419 1
Pd3 0.484 0.776 0.261 1
```

Largest 10 diffraction maxima, by intensity, 2θ = 15–90°:
2θ/deg, I/Imax
38.1, 100
40.5, 74
28.1, 45
18.8, 37
38.3, 37
27.0, 36
28.2, 31
19.9, 30
38.9, 30
40.9, 27